Starting from a crystal structure in Alexandria, relaxed with GGA-PBE, the powder diffractogram of Pr3Tm2Te6 was calculated for a wavelength of 1.5418 Å.
Intensities are scaled so that the largest is 100.

Crystal structure
a b c (Å): 22.4585 22.4585 22.4585
angles (deg): 11.26 11.26 11.26
Sites, in units of the cell vectors:
Pr  0.0000  0.0000  0.0000
Pr  0.2764  0.2764  0.2764
Pr  0.7236  0.7236  0.7236
Tm  0.4490  0.4490  0.4490
Tm  0.5510  0.5510  0.5510
Te  0.0871  0.0871  0.0871
Te  0.1947  0.1947  0.1947
Te  0.3620  0.3620  0.3620
Te  0.6380  0.6380  0.6380
Te  0.8053  0.8053  0.8053
Te  0.9129  0.9129  0.9129

Main lines, by angle (10° ≤ 2θ ≤ 90°):
| 2θ/deg | I (rel.) |
| --- | --- |
| 27.59 | 100 |
| 29.96 | 10 |
| 37.82 | 25 |
| 40.97 | 42 |
| 41.19 | 16 |
| 50.11 | 19 |
| 56.97 | 8 |
| 65.71 | 14 |
| 66.64 | 16 |
| 72.53 | 7 |